Structure and calculated powder X-ray diffraction pattern of Sn4As3S (a cell relaxed with PBE; λ = 1.5418 Å (Cu Kα)).
Kinematic intensities with the Lorentz-polarization factor, no thermal factor.

Atomic structure:
Unit cell a=4.107 b=7.155 c=7.155 alpha=69.38 beta=90.00 gamma=90.00
Positions (direct):
Sn 0.000 0.000 0.000
Sn 0.000 0.492 0.492
Sn 0.500 0.009 0.505
Sn 0.500 0.505 0.009
As 0.000 0.259 0.259
As 0.500 0.262 0.759
As 0.500 0.759 0.262
S 0.000 0.770 0.770

Top 10 peaks for 2θ = 10–90°, most intense first:
d = 2.892 Å, 30.93°, I 100.0; d = 2.062 Å, 43.91°, I 74.2; d = 2.942 Å, 30.39°, I 50.7; d = 1.298 Å, 72.90°, I 25.8; d = 1.684 Å, 54.50°, I 19.7; d = 1.674 Å, 54.84°, I 19.4; d = 2.053 Å, 44.10°, I 18.9; d = 2.036 Å, 44.50°, I 18.4; d = 1.311 Å, 72.04°, I 15.9; d = 1.187 Å, 80.99°, I 13.1